For H2S, a PBE-relaxed structure gives the theoretical powder diffraction line list in this record (Cu Kα).
Kinematic intensities with the Lorentz-polarization factor, no thermal factor.

Crystal structure
```
H2S
1.0
13.776 0.000 0.000
0.000 13.776 0.000
0.000 0.000 4.521
H S
32 16
direct
0.055 0.117 0.000 H
0.064 0.617 0.003 H
0.095 0.439 0.504 H
0.117 0.945 0.500 H
0.123 0.193 0.304 H
0.130 0.688 0.323 H
0.169 0.366 0.797 H
0.193 0.877 0.804 H
0.312 0.130 0.823 H
0.335 0.634 0.097 H
0.366 0.335 0.597 H
0.366 0.831 0.297 H
0.383 0.064 0.503 H
0.405 0.566 0.409 H
0.434 0.405 0.909 H
0.439 0.905 0.004 H
0.561 0.095 0.004 H
0.566 0.595 0.909 H
0.595 0.434 0.409 H
0.617 0.936 0.503 H
0.634 0.169 0.297 H
0.634 0.665 0.597 H
0.665 0.366 0.097 H
0.688 0.870 0.823 H
0.807 0.123 0.804 H
0.831 0.634 0.797 H
0.870 0.312 0.323 H
0.877 0.807 0.304 H
0.883 0.055 0.500 H
0.905 0.561 0.504 H
0.936 0.383 0.003 H
0.945 0.883 0.000 H
0.085 0.353 0.648 S
0.109 0.861 0.654 S
0.139 0.109 0.154 S
0.142 0.602 0.183 S
0.353 0.915 0.148 S
0.355 0.421 0.737 S
0.398 0.142 0.683 S
0.421 0.645 0.237 S
0.579 0.355 0.237 S
0.602 0.858 0.683 S
0.645 0.579 0.737 S
0.647 0.085 0.148 S
0.858 0.398 0.183 S
0.861 0.891 0.154 S
0.891 0.139 0.654 S
0.915 0.647 0.648 S
```

Top 10 peaks for 2θ from 15° to 90°, by intensity:
(4 0 0), 25.87°, I = 100.0; (2 2 1), 26.91°, I = 71.9; (2 1 1), 24.42°, I = 71.7; (2 4 0), 28.99°, I = 51.2; (3 1 1), 28.45°, I = 46.4; (3 2 1), 30.64°, I = 42.8; (4 0 2), 48.15°, I = 21.7; (1 1 1), 21.67°, I = 19.0; (4 4 0), 36.91°, I = 18.8; (2 4 2), 50.05°, I = 17.2